Calculated powder X-ray diffraction pattern of Dy6Bi3Au for Cu Kα X-rays, from a crystal structure in Alexandria, relaxed with GGA-PBE.
Lines closer than 0.1° are merged.

Cell and atoms:
Lattice parameters (Å, degrees): 11.2206 15.5389 7.2154 90.00 90.00 90.00
Space group Cmc2_1 (No. 36)
One atom of each set of equivalent atoms:
Dy1 0.0000 0.0132 0.0000 x4
Dy2 0.0000 0.2495 0.0858 x4
Dy3 0.1703 0.2691 0.5516 x8
Dy4 0.1912 0.4388 0.1658 x8
Bi1 0.0000 0.4311 0.4818 x4
Bi2 0.1794 0.1048 0.2861 x8
Au1 0.0000 0.1553 0.7359 x4

Peak list (8 most intense, 10° ≤ 2θ ≤ 90°, sorted by position)
2theta	I (rel.)	index
23.12	38	2 2 1
27.47	31	3 1 1
30.61	32	2 4 1
31.66	36	2 2 2
32.02	100	3 3 1
33.91	44	0 4 2
45.20	25	3 1 3
48.69	20	6 0 0